# Tm3Si2Rh5
Calculated X-ray diffraction stick pattern, copper Kα. Input: a structure optimized by DFT (GGA-PBE).
Kinematic intensities with the Lorentz-polarization factor, no thermal factor.

Crystal structure
```
Tm3Si2Rh5
1.0
9.876 0.000 0.000
0.000 9.876 0.000
0.000 0.000 3.517
Tm Si Rh
6 4 10
Cartesian
0.000 0.000 0.000
1.714 3.224 0.000
3.224 8.162 0.000
4.938 4.938 0.000
6.651 1.714 0.000
8.162 6.651 0.000
1.220 6.158 0.000
3.717 1.220 0.000
6.158 8.655 0.000
8.655 3.717 0.000
0.000 4.938 1.759
0.695 7.706 1.759
2.169 0.695 1.759
2.768 5.633 1.759
4.242 2.768 1.759
4.938 0.000 1.759
5.633 7.107 1.759
7.107 4.242 1.759
7.706 9.180 1.759
9.180 2.169 1.759
```

Most intense lines, 10° ≤ 2θ ≤ 90°, low angle first:
2θ (°)  d/Å  I_rel  h k l
32.55  2.751  57.5  2 1 1
36.25  2.478  34.8  2 2 1
37.55  2.395  53.4  4 1 0
38.55  2.335  100.0  3 1 1
40.87  2.208  31.7  4 2 0
41.80  2.161  22.2  3 2 1
52.00  1.759  20.6  0 0 2
62.28  1.491  17.6  6 0 1
65.89  1.418  20.3  4 1 2
66.16  1.412  14.9  5 4 1